Diffraction record for CaAs3Rh5. The X-ray powder pattern is theoretical, not measured: it uses a structure optimized by DFT (PBE) and a wavelength of 1.5418 Å.
Lines closer than 0.1° are merged.

Crystal structure
```
data_CaAs3Rh5
_chemical_formula_sum 'Ca4 As12 Rh20'
_cell_length_a 4.006
_cell_length_b 12.681
_cell_length_c 12.439
_cell_angle_alpha 90.00
_cell_angle_beta 90.00
_cell_angle_gamma 90.00
_space_group_name_H-M_alt 'C m c m'
_space_group_IT_number 63
_space_group_name_Hall '-C 2c 2'
loop_
_atom_site_label
_atom_site_type_symbol
_atom_site_fract_x
_atom_site_fract_y
_atom_site_fract_z
_atom_site_occupancy
Ca1 Ca 0.000 0.166 0.250 1
As1 As 0.000 0.107 0.750 1
As2 As 0.000 0.386 0.550 1
Rh1 Rh 0.000 0.000 0.000 1
Rh2 Rh 0.000 0.204 0.573 1
Rh3 Rh 0.000 0.438 0.139 1
```

Most intense lines, 15 to 90 degrees two-theta, low angle first:
- d 5.649, 2θ = 15.69°, intensity 100.0
- d 2.810, 2θ = 31.85°, intensity 77.3
- d 2.412, 2θ = 37.28°, intensity 96.2
- d 2.143, 2θ = 42.17°, intensity 75.2
- d 2.085, 2θ = 43.41°, intensity 83.7
- d 2.026, 2θ = 44.73°, intensity 85.5
- d 2.003, 2θ = 45.27°, intensity 90.7
- d 1.890, 2θ = 48.15°, intensity 46.7